The following is a simulated powder diffraction line list of NbInTe2O8. It was derived from DFT lattice parameters and positions (GGA-PBE), using Cu Ka.

Crystal structure
abc: 7.634 10.740 7.683
angles: 90.00 90.00 90.00
Space group Pca2_1 (No. 29)
Inequivalent atoms, fractional coordinates:
Nb  0.026  0.001  0.000 (multiplicity 4)
In  0.005  0.513  0.493 (multiplicity 4)
Te  0.203  0.248  0.335 (multiplicity 4)
Te  0.229  0.723  0.254 (multiplicity 4)
O  0.027  0.051  0.237 (multiplicity 4)
O  0.051  0.634  0.797 (multiplicity 4)
O  0.063  0.590  0.224 (multiplicity 4)
O  0.078  0.169  0.909 (multiplicity 4)
O  0.078  0.176  0.528 (multiplicity 4)
O  0.185  0.668  0.507 (multiplicity 4)
O  0.244  0.942  0.487 (multiplicity 4)
O  0.248  0.396  0.976 (multiplicity 4)

The 8 most intense peaks (10 to 90 degrees two-theta), sorted by position:
d [Å]	2θ (°)	I_rel
3.268	27.3	22
3.124	28.6	84
3.111	28.7	100
2.708	33.1	40
2.685	33.4	27
1.907	47.7	50
1.629	56.5	18
1.621	56.8	22